Structure and simulated X-ray diffraction stick pattern of Ge4Te5Au2 (a DFT-relaxed cell (PBE, Alexandria); λ = 1.5418 Å (Cu Kα)).
Lines closer than 0.1° are merged.

The 6 most intense peaks (2θ = 10–90°), in order of rising 2θ:
2θ = 10.95°, d = 8.083 Å, rel. 23; 2θ = 13.29°, d = 6.663 Å, rel. 33; 2θ = 28.92°, d = 3.088 Å, rel. 57; 2θ = 32.11°, d = 2.788 Å, rel. 100; 2θ = 43.29°, d = 2.090 Å, rel. 35; 2θ = 44.21°, d = 2.049 Å, rel. 38

Structure:
abc: 19.029 4.065 8.183
angles: 90.00 98.97 90.00
Space group C2/m (No. 12)
Symmetry-distinct sites (fractional):
Ge1 0.048 0.000 0.236 [4 per cell]
Ge2 0.107 0.500 0.470 [4 per cell]
Te1 0.000 0.500 0.000 [2 per cell]
Te2 0.119 0.000 0.698 [4 per cell]
Te3 0.187 0.000 0.165 [4 per cell]
Au1 0.233 0.500 0.383 [4 per cell]